Computed XRD peak list of KLiLu2Mo4O16 for Cu Kα (weighted mean of Kα1 and Kα2), from a DFT-relaxed cell (PBE+U, Alexandria).

Crystal structure
```
data_KLiLu2Mo4O16
_chemical_formula_sum 'K2 Li2 Lu4 Mo8 O32'
_symmetry_space_group_name_H-M 'P 1'
_symmetry_Int_Tables_number 1
_cell_length_a 6.8191
_cell_length_b 6.8191
_cell_length_c 19.7861
_cell_angle_alpha 91.70
_cell_angle_beta 91.70
_cell_angle_gamma 135.18
loop_
_symmetry_equiv_pos_as_xyz
'x,y,z'
loop_
_atom_site_label
_atom_site_type_symbol
_atom_site_fract_x
_atom_site_fract_y
_atom_site_fract_z
_atom_site_occupancy
K1 K 0.0306 0.9694 0.7500 1
K2 K 0.9694 0.0306 0.2500 1
Li1 Li 0.3133 0.6867 0.7500 1
Li2 Li 0.6867 0.3133 0.2500 1
Lu1 Lu 0.1434 0.8506 0.5301 1
Lu2 Lu 0.1494 0.8566 0.9699 1
Lu3 Lu 0.8506 0.1434 0.0301 1
Lu4 Lu 0.8566 0.1494 0.4699 1
Mo1 Mo 0.2392 0.7274 0.3567 1
Mo2 Mo 0.2726 0.7608 0.1433 1
Mo3 Mo 0.4139 0.5387 0.9093 1
Mo4 Mo 0.4613 0.5861 0.5907 1
Mo5 Mo 0.5387 0.4139 0.4093 1
Mo6 Mo 0.5861 0.4613 0.0907 1
Mo7 Mo 0.7274 0.2392 0.8567 1
Mo8 Mo 0.7608 0.2726 0.6433 1
O1 O 0.0125 0.7435 0.1674 1
O2 O 0.0435 0.5689 0.4352 1
O3 O 0.0659 0.4740 0.2878 1
O4 O 0.0928 0.4013 0.1264 1
O5 O 0.1604 0.4951 0.9611 1
O6 O 0.2123 0.2535 0.5371 1
O7 O 0.2200 0.3240 0.4016 1
O8 O 0.2535 0.2123 0.0371 1
O9 O 0.2565 0.9875 0.3326 1
O10 O 0.3103 0.4904 0.6697 1
O11 O 0.3240 0.2200 0.9016 1
O12 O 0.4013 0.0928 0.6264 1
O13 O 0.4311 0.9565 0.0648 1
O14 O 0.4740 0.0659 0.7878 1
O15 O 0.4904 0.3103 0.1697 1
O16 O 0.4951 0.1604 0.4611 1
O17 O 0.5049 0.8396 0.5389 1
O18 O 0.5096 0.6897 0.8303 1
O19 O 0.5260 0.9341 0.2122 1
O20 O 0.5689 0.0435 0.9352 1
O21 O 0.5987 0.9072 0.3736 1
O22 O 0.6760 0.7800 0.0984 1
O23 O 0.6897 0.5096 0.3303 1
O24 O 0.7435 0.0125 0.6674 1
O25 O 0.7465 0.7877 0.9629 1
O26 O 0.7800 0.6760 0.5984 1
O27 O 0.7877 0.7465 0.4629 1
O28 O 0.8396 0.5049 0.0389 1
O29 O 0.9072 0.5987 0.8736 1
O30 O 0.9341 0.5260 0.7122 1
O31 O 0.9565 0.4311 0.5648 1
O32 O 0.9875 0.2565 0.8326 1
```

Top 10 peaks for 2θ from 10° to 90°, in order of falling intensity:
2θ (°)  I_rel
28.24  100
30.36  66
26.86  56
28.37  56
27.92  54
24.95  53
27.32  52
29.24  47
34.61  47
29.96  44